Structure and computed powder XRD pattern of Y3Si5 (a crystal structure in Alexandria, relaxed with GGA-PBE; Cu Kα, 1.54184 Å).
Peak positions follow from Bragg's law for the DFT cell and can differ from measured ones.

Most intense lines, 2θ from 10° to 80°, by angle:
| h k l | two_theta | I/Imax |
| --- | --- | --- |
| 1 -2 1 | 27.06 | 58 |
| 0 2 1 | 27.66 | 69 |
| 1 0 2 | 29.17 | 49 |
| 0 2 -2 | 32.00 | 72 |
| 0 0 3 | 33.28 | 74 |
| -1 2 2 | 33.56 | 100 |
| 2 0 0 | 34.63 | 82 |
| 2 -2 0 | 35.15 | 58 |
| 1 2 -1 | 35.42 | 50 |
| 1 2 2 | 43.22 | 52 |

Unit cell a=5.512 b=7.709 c=8.113 alpha=92.53 beta=93.73 gamma=109.43
Atoms (fractional coordinates):
Y 0.165 0.325 0.488
Y 0.265 0.564 0.864
Y 0.278 0.052 0.824
Y 0.722 0.948 0.176
Y 0.735 0.436 0.136
Y 0.835 0.675 0.512
Si 0.156 0.806 0.105
Si 0.177 0.271 0.118
Si 0.241 0.977 0.370
Si 0.321 0.586 0.245
Si 0.376 0.767 0.554
Si 0.624 0.233 0.446
Si 0.679 0.414 0.755
Si 0.759 0.023 0.630
Si 0.823 0.729 0.882
Si 0.844 0.194 0.895